Starting from DFT lattice parameters and positions (GGA-PBE), the PXRD pattern of NiGe7N10 was calculated for Cu Kα (λ = 1.5418 Å).
No peak broadening, texture or thermal motion is included.

Peak list (8 most intense, 2θ = 15–90°, by angle)
hkl 1 1 -1, 18.58 deg, intensity 100.0; hkl 2 1 -1, 28.68 deg, intensity 46.7; hkl 0 1 3, 29.35 deg, intensity 38.2; hkl 2 1 -2, 31.10 deg, intensity 44.8; hkl 1 1 3, 34.52 deg, intensity 34.8; hkl 2 2 -1, 35.65 deg, intensity 65.6; hkl 2 1 2, 37.05 deg, intensity 42.1; hkl 1 1 -4, 37.65 deg, intensity 58.7

Structure:
```
data_NiGe7N10
_chemical_formula_sum 'Ni2 Ge14 N20'
_cell_length_a 6.918
_cell_length_b 7.422
_cell_length_c 10.232
_cell_angle_alpha 90.00
_cell_angle_beta 101.95
_cell_angle_gamma 90.00
_space_group_name_H-M_alt 'P 1 c 1'
_space_group_IT_number 7
_space_group_name_Hall 'P -2yc'
loop_
_atom_site_label
_atom_site_fract_x
_atom_site_fract_y
_atom_site_fract_z
Ni1 0.000 0.121 0.000
Ge1 0.169 0.395 0.895
Ge2 0.354 0.371 0.203
Ge3 0.386 0.016 0.846
Ge4 0.540 0.364 0.506
Ge5 0.596 0.018 0.143
Ge6 0.704 0.354 0.811
Ge7 0.895 0.382 0.139
N1 0.128 0.426 0.264
N2 0.175 0.148 0.873
N3 0.344 0.486 0.043
N4 0.370 0.127 0.190
N5 0.497 0.122 0.494
N6 0.558 0.450 0.339
N7 0.593 0.134 0.789
N8 0.758 0.406 0.643
N9 0.822 0.142 0.125
N10 0.928 0.363 0.953
```